The following is a calculated XRD peak list of Ca4Mg4P4O17F3. It was derived from a DFT-relaxed cell (GGA-PBE, the Materials Project), using λ = 1.5418 Å (Cu Kα).
Neutral-atom scattering factors, no anomalous dispersion.

Main lines, in order of falling intensity (10 to 80 degrees two-theta):
2θ (°), I/Imax
29.22, 100
27.47, 93
33.81, 74
34.05, 54
38.66, 40
27.18, 35
31.59, 32
54.81, 32
52.29, 27
52.57, 26

Structure:
Lattice parameters (Å, degrees): 13.1818 8.8269 6.6012 90.00 95.43 90.00
Space group C2 (No. 5)
One atom of each set of equivalent atoms:
Ca (0.0000, 0.0000, 0.0000) [2 per cell]
Ca (0.0000, 0.4979, 0.5000) [2 per cell]
Ca (0.2495, 0.3245, 0.2490) [4 per cell]
Mg (0.1251, 0.1623, 0.6252) [4 per cell]
Mg (0.1266, 0.6606, 0.1243) [4 per cell]
P (0.0000, 0.3410, 0.0000) [2 per cell]
P (0.0000, 0.8414, 0.5000) [2 per cell]
P (0.2499, 0.4824, 0.7497) [4 per cell]
O (0.0000, 0.7462, 0.0000) [2 per cell]
O (0.0588, 0.4411, 0.1672) [4 per cell]
O (0.0588, 0.9419, 0.6664) [4 per cell]
O (0.0783, 0.2339, 0.9085) [4 per cell]
O (0.0777, 0.7337, 0.4076) [4 per cell]
O (0.1719, 0.0897, 0.3416) [4 per cell]
O (0.1719, 0.5904, 0.8404) [4 per cell]
O (0.1914, 0.3812, 0.5831) [4 per cell]
O (0.1926, 0.8816, 0.0836) [4 per cell]
F (0.0000, 0.2446, 0.5000) [2 per cell]
F (0.2496, 0.0781, 0.7495) [4 per cell]

---

The following is a calculated XRD peak list of Ba2Ti6N2O11. It was derived from a DFT-relaxed cell (GGA-PBE, the Materials Project), using λ = 1.5418 Å (Cu Kα).
Neutral-atom scattering factors, no anomalous dispersion.

Main lines, in order of falling intensity (10 to 80 degrees two-theta):
2θ (°), I/Imax
31.14, 100
29.43, 87
30.01, 82
28.63, 76
19.53, 57
45.96, 52
43.21, 41
23.95, 40
64.94, 38
33.36, 37

Structure:
Lattice parameters (Å, degrees): 15.4112 3.9496 9.1941 90.00 98.54 90.00
Space group Cm (No. 8)
One atom of each set of equivalent atoms:
Ba (0.0000, 0.0000, 0.0000) [2 per cell]
Ba (0.0991, 0.0000, 0.5359) [2 per cell]
Ti (0.1784, 0.5000, 0.8640) [2 per cell]
Ti (0.2207, 0.5000, 0.2010) [2 per cell]
Ti (0.2894, 0.5000, 0.5235) [2 per cell]
Ti (0.3094, 0.0000, 0.9928) [2 per cell]
Ti (0.3747, 0.0000, 0.3260) [2 per cell]
Ti (0.4321, 0.0000, 0.6713) [2 per cell]
N (0.2874, 0.5000, 0.9982) [2 per cell]
N (0.3422, 0.5000, 0.3384) [2 per cell]
O (0.0449, 0.5000, 0.7607) [2 per cell]
O (0.1209, 0.5000, 0.0540) [2 per cell]
O (0.1753, 0.5000, 0.3780) [2 per cell]
O (0.1851, 0.0000, 0.8694) [2 per cell]
O (0.2102, 0.5000, 0.6700) [2 per cell]
O (0.2468, 0.0000, 0.1892) [2 per cell]
O (0.3051, 0.0000, 0.5278) [2 per cell]
O (0.3841, 0.0000, 0.8529) [2 per cell]
O (0.4094, 0.5000, 0.6519) [2 per cell]
O (0.4166, 0.0000, 0.1471) [2 per cell]
O (0.4727, 0.0000, 0.4705) [2 per cell]

---

The following is a calculated XRD peak list of Nd2MgS4. It was derived from a DFT-relaxed cell (GGA-PBE, the Materials Project), using λ = 1.5418 Å (Cu Kα).
Neutral-atom scattering factors, no anomalous dispersion.

Main lines, in order of falling intensity (10 to 80 degrees two-theta):
2θ (°), I/Imax
37.05, 100
18.28, 91
26.25, 65
23.28, 55
14.74, 51
25.71, 48
25.10, 48
37.29, 41
44.64, 38
41.28, 32

Structure:
Lattice parameters (Å, degrees): 14.0007 8.2296 6.6534 90.00 90.00 90.00
Space group Pnma (No. 62)
One atom of each set of equivalent atoms:
Nd (0.0000, 0.0000, 0.0000) [4 per cell]
Nd (0.2306, 0.2500, 0.4986) [4 per cell]
Mg (0.0927, 0.7500, 0.4228) [4 per cell]
S (0.0664, 0.2500, 0.7424) [4 per cell]
S (0.0927, 0.7500, 0.7861) [4 per cell]
S (0.1674, 0.5170, 0.2496) [8 per cell]